Computed X-ray diffraction stick pattern
Compound: Ta8H
Radiation: copper Kα
Structure: DFT lattice parameters and positions (GGA-PBE)
Lines closer than 0.1° are merged.

Structural model:
```
Ta8H
1.0
5.821 0.000 0.000
-2.910 5.041 0.000
0.000 0.000 5.169
Ta H
8 1
Cartesian
0.000 1.710 1.275 Ta
-1.429 4.186 1.275 Ta
0.000 3.361 3.862 Ta
1.481 0.855 3.894 Ta
1.429 4.186 1.275 Ta
2.910 1.680 1.307 Ta
4.340 0.855 3.894 Ta
2.910 3.331 3.894 Ta
0.000 0.000 2.585 H
```

Peak list (10 most intense, 2θ from 10° to 90°, in order of rising 2θ)
2theta  intensity
34.71  322
35.62  224
39.79  1000
50.58  169
63.98  167
65.63  232
74.88  211
78.05  142
84.19  40
85.78  38



Computed X-ray diffraction stick pattern
Compound: TaH3
Radiation: copper Kα
Structure: DFT lattice parameters and positions (GGA-PBE)
Lines closer than 0.1° are merged.

Structural model:
```
TaH3
1.0
5.788 0.000 0.000
-2.894 5.013 0.000
0.000 0.000 5.486
Ta H
6 18
Cartesian
-0.999 1.731 1.372 Ta
-1.895 3.282 4.115 Ta
1.998 0.000 1.372 Ta
0.999 1.731 4.115 Ta
3.790 0.000 4.115 Ta
1.895 3.282 1.372 Ta
0.000 0.000 1.372 H
0.000 0.000 4.115 H
-0.662 2.007 3.225 H
-1.487 3.436 0.482 H
0.662 2.007 0.482 H
-0.825 4.582 3.225 H
0.000 3.342 1.796 H
0.000 3.342 4.539 H
2.069 0.430 5.004 H
1.407 1.576 2.261 H
1.487 3.436 3.225 H
0.825 4.582 0.482 H
2.894 1.671 0.947 H
2.894 1.671 3.690 H
3.719 0.430 2.261 H
2.232 3.006 5.004 H
4.381 1.576 5.004 H
3.556 3.006 2.261 H
```

Peak list (10 most intense, 2θ from 10° to 90°, in order of rising 2θ)
2theta  intensity
30.90  233
32.65  274
35.06  1000
45.56  160
54.95  188
59.82  223
65.40  221
66.87  153
76.92  39
85.59  80



Computed X-ray diffraction stick pattern
Compound: Ta4H
Radiation: copper Kα
Structure: DFT lattice parameters and positions (GGA-PBE)
Lines closer than 0.1° are merged.

Structural model:
```
Ta4H
1.0
4.249 0.000 0.000
0.000 4.249 0.000
0.000 0.000 4.249
Ta H
4 1
Cartesian
0.000 0.000 0.000 Ta
0.000 2.124 2.124 Ta
2.124 0.000 2.124 Ta
2.124 2.124 0.000 Ta
2.124 2.124 2.124 H
```

Peak list (5 most intense, 2θ from 10° to 90°, in order of rising 2θ)
2theta  intensity
36.64  1000
42.56  500
61.76  336
74.00  395
77.89  115



Computed X-ray diffraction stick pattern
Compound: TaTcH4
Radiation: copper Kα
Structure: DFT lattice parameters and positions (GGA-PBE)
Lines closer than 0.1° are merged.

Structural model:
```
TaTcH4
1.0
-2.214 2.214 4.445
2.214 -2.214 4.445
2.214 2.214 -4.445
Ta Tc H
2 2 8
Cartesian
2.214 1.107 1.111 Ta
0.000 1.107 3.333 Ta
2.214 -1.107 3.333 Tc
0.000 3.321 1.111 Tc
1.058 0.000 0.000 H
3.371 0.000 0.000 H
1.107 2.165 -2.222 H
1.107 -0.049 2.222 H
1.058 2.214 0.000 H
1.156 0.000 4.445 H
-1.107 2.264 2.222 H
1.107 2.264 2.222 H
```

Peak list (10 most intense, 2θ from 10° to 90°, in order of rising 2θ)
2theta  intensity
22.43  112
35.06  1000
40.60  161
40.75  318
58.88  228
59.00  113
70.29  131
70.51  260
74.08  111
88.28  37



Computed X-ray diffraction stick pattern
Compound: TaTiH4
Radiation: copper Kα
Structure: DFT lattice parameters and positions (GGA-PBE)
Lines closer than 0.1° are merged.

Structural model:
```
TaTiH4
1.0
-2.235 2.235 4.452
2.235 -2.235 4.452
2.235 2.235 -4.452
Ta Ti H
2 2 8
Cartesian
2.235 1.117 1.113 Ta
0.000 1.117 3.339 Ta
2.235 -1.117 3.339 Ti
0.000 3.352 1.113 Ti
1.095 0.000 0.000 H
3.374 0.000 0.000 H
1.117 2.212 -2.226 H
1.117 -0.022 2.226 H
1.095 2.235 0.000 H
1.139 0.000 4.452 H
-1.117 2.257 2.226 H
1.117 2.257 2.226 H
```

Peak list (10 most intense, 2θ from 10° to 90°, in order of rising 2θ)
2theta  intensity
22.26  501
34.81  1000
36.34  150
40.36  317
40.53  157
46.57  155
58.41  114
58.53  226
69.83  258
70.05  128



Computed X-ray diffraction stick pattern
Compound: TaTi3H8
Radiation: copper Kα
Structure: DFT lattice parameters and positions (GGA-PBE)
Lines closer than 0.1° are merged.

Structural model:
```
TaTi3H8
1.0
-2.216 2.216 4.435
2.216 -2.216 4.435
2.216 2.216 -4.435
Ta Ti H
1 3 8
Cartesian
0.000 0.000 0.000 Ta
2.216 0.000 2.217 Ti
0.000 0.000 4.435 Ti
0.000 2.216 2.217 Ti
1.116 1.116 -1.119 H
1.099 -1.099 3.315 H
1.116 1.116 1.119 H
1.099 -1.099 5.554 H
-1.099 1.099 3.315 H
1.099 1.099 3.315 H
-1.099 1.099 5.554 H
1.099 1.099 5.554 H
```

Peak list (10 most intense, 2θ from 10° to 90°, in order of rising 2θ)
2theta  intensity
20.02  161
22.43  498
28.49  141
35.06  1000
36.54  150
40.71  460
46.98  153
55.84  140
58.94  330
70.46  364



Computed X-ray diffraction stick pattern
Compound: TaTlH2
Radiation: copper Kα
Structure: DFT lattice parameters and positions (GGA-PBE)
Lines closer than 0.1° are merged.

Structural model:
```
TaTlH2
1.0
5.825 0.000 0.000
0.000 5.825 0.000
0.000 0.000 6.001
Ta Tl H
4 4 8
Cartesian
0.000 0.000 0.000 Ta
0.000 2.913 1.500 Ta
2.913 0.000 4.501 Ta
2.913 2.913 3.000 Ta
0.000 0.000 3.000 Tl
0.000 2.913 4.501 Tl
2.913 0.000 1.500 Tl
2.913 2.913 0.000 Tl
0.885 1.456 0.750 H
1.456 3.798 2.250 H
1.456 4.940 5.251 H
2.027 1.456 3.751 H
3.798 4.369 3.751 H
4.369 0.885 5.251 H
4.369 2.027 2.250 H
4.940 4.369 0.750 H
```

Peak list (10 most intense, 2θ from 10° to 90°, in order of rising 2θ)
2theta  intensity
30.70  813
37.07  1000
43.96  313
58.82  534
61.84  57
63.93  104
70.62  156
72.58  144
76.26  126
78.95  115